The following is a calculated X-ray diffraction stick pattern of BaTbMn2O5. It was derived from a structure optimized by DFT (GGA+U), using a wavelength of 1.5418 Å.
Intensities are scaled so that the largest is 100.

Cell and atoms:
a b c (Å): 5.631 5.631 7.850
angles (deg): 90.00 90.00 90.00
Fractional coordinates of all 18 atoms:
Ba (0.250, 0.750, 0.000)
Ba (0.750, 0.250, 0.000)
Tb (0.250, 0.750, 0.500)
Tb (0.750, 0.250, 0.500)
Mn (0.250, 0.250, 0.257)
Mn (0.250, 0.250, 0.725)
Mn (0.750, 0.750, 0.275)
Mn (0.750, 0.750, 0.743)
O (0.007, 0.007, 0.680)
O (0.007, 0.493, 0.680)
O (0.250, 0.250, 0.993)
O (0.493, 0.007, 0.680)
O (0.493, 0.493, 0.680)
O (0.507, 0.507, 0.320)
O (0.507, 0.993, 0.320)
O (0.750, 0.750, 0.007)
O (0.993, 0.507, 0.320)
O (0.993, 0.993, 0.320)

Most intense lines, 2θ = 10–80°, in order of falling intensity:
2θ 32.02, intensity 100
2θ 31.78, intensity 43
2θ 56.77, intensity 38
2θ 45.57, intensity 29
2θ 39.39, intensity 22
2θ 57.22, intensity 22
2θ 22.33, intensity 20
2θ 66.96, intensity 12
2θ 46.26, intensity 9
2θ 22.66, intensity 9
2θ 66.41, intensity 9
2θ 75.64, intensity 8

The following is a calculated X-ray diffraction stick pattern of BaTbMn2O5. It was derived from a structure optimized by DFT (GGA+U), using a wavelength of 1.5418 Å.
Intensities are scaled so that the largest is 100.

Cell and atoms:
a b c (Å): 3.985 3.985 7.829
angles (deg): 90.00 90.00 90.00
Fractional coordinates of all 9 atoms:
Ba (0.000, 0.000, 0.000)
Tb (0.000, 0.000, 0.500)
Mn (0.500, 0.500, 0.266)
Mn (0.500, 0.500, 0.734)
O (0.000, 0.500, 0.319)
O (0.000, 0.500, 0.681)
O (0.500, 0.000, 0.319)
O (0.500, 0.000, 0.681)
O (0.500, 0.500, 0.000)

Most intense lines, 2θ = 10–80°, in order of falling intensity:
2θ 32.05, intensity 100
2θ 31.75, intensity 43
2θ 56.75, intensity 38
2θ 45.52, intensity 29
2θ 39.40, intensity 22
2θ 57.31, intensity 22
2θ 22.31, intensity 20
2θ 67.02, intensity 12
2θ 46.39, intensity 9
2θ 22.72, intensity 9
2θ 66.34, intensity 9
2θ 75.59, intensity 8

The following is a calculated X-ray diffraction stick pattern of BaTb2Mn2O7. It was derived from a structure optimized by DFT (GGA+U), using a wavelength of 1.5418 Å.
Intensities are scaled so that the largest is 100.

Cell and atoms:
a b c (Å): 10.431 10.431 10.431
angles (deg): 158.23 158.23 30.98
Fractional coordinates of all 12 atoms:
Ba (0.000, 0.000, 0.000)
Tb (0.183, 0.183, 0.000)
Tb (0.817, 0.817, 0.000)
Mn (0.397, 0.397, 0.000)
Mn (0.603, 0.603, 0.000)
O (0.112, 0.612, 0.500)
O (0.291, 0.291, 0.000)
O (0.388, 0.888, 0.500)
O (0.500, 0.500, 0.000)
O (0.612, 0.112, 0.500)
O (0.709, 0.709, 0.000)
O (0.888, 0.388, 0.500)

Most intense lines, 2θ = 10–80°, in order of falling intensity:
2θ 31.80, intensity 100
2θ 32.13, intensity 67
2θ 57.07, intensity 38
2θ 46.07, intensity 36
2θ 42.18, intensity 27
2θ 23.00, intensity 21
2θ 26.60, intensity 16
2θ 55.42, intensity 13
2θ 56.44, intensity 13
2θ 74.85, intensity 12
2θ 66.44, intensity 11
2θ 26.24, intensity 11

The following is a calculated X-ray diffraction stick pattern of Ba2Tb2Mn4O11. It was derived from a structure optimized by DFT (GGA+U), using a wavelength of 1.5418 Å.
Intensities are scaled so that the largest is 100.

Cell and atoms:
a b c (Å): 9.611 9.611 9.611
angles (deg): 129.09 71.83 132.94
Fractional coordinates of all 38 atoms:
Ba (0.249, 0.248, 0.497)
Ba (0.251, 0.748, 0.999)
Ba (0.749, 0.252, 0.001)
Ba (0.751, 0.752, 0.503)
Tb (0.004, 0.776, 0.780)
Tb (0.496, 0.276, 0.773)
Tb (0.504, 0.724, 0.227)
Tb (0.996, 0.224, 0.220)
Mn (0.126, 0.250, 0.876)
Mn (0.136, 0.750, 0.386)
Mn (0.364, 0.750, 0.614)
Mn (0.374, 0.250, 0.124)
Mn (0.626, 0.750, 0.876)
Mn (0.636, 0.250, 0.386)
Mn (0.864, 0.250, 0.614)
Mn (0.874, 0.750, 0.124)
O (0.001, 0.250, 0.751)
O (0.091, 0.544, 0.635)
O (0.115, 0.970, 0.085)
O (0.117, 0.948, 0.632)
O (0.184, 0.552, 0.169)
O (0.250, 0.250, 0.000)
O (0.316, 0.484, 0.368)
O (0.383, 0.016, 0.831)
O (0.385, 0.470, 0.856)
O (0.409, 0.044, 0.453)
O (0.499, 0.250, 0.249)
O (0.501, 0.750, 0.751)
O (0.591, 0.956, 0.547)
O (0.615, 0.530, 0.144)
O (0.617, 0.984, 0.169)
O (0.684, 0.516, 0.632)
O (0.750, 0.750, 0.000)
O (0.816, 0.448, 0.831)
O (0.883, 0.052, 0.368)
O (0.885, 0.030, 0.915)
O (0.909, 0.456, 0.365)
O (0.999, 0.750, 0.249)

Most intense lines, 2θ = 10–80°, in order of falling intensity:
2θ 31.59, intensity 100
2θ 31.83, intensity 95
2θ 32.78, intensity 94
2θ 39.55, intensity 48
2θ 57.61, intensity 40
2θ 58.07, intensity 36
2θ 55.80, intensity 35
2θ 43.83, intensity 30
2θ 47.39, intensity 27
2θ 46.68, intensity 24
2θ 21.51, intensity 20
2θ 23.18, intensity 19

The following is a calculated X-ray diffraction stick pattern of Ba2MnTeO6. It was derived from a structure optimized by DFT (GGA+U), using a wavelength of 1.5418 Å.
Intensities are scaled so that the largest is 100.

Cell and atoms:
a b c (Å): 5.897 5.897 5.897
angles (deg): 60.00 60.00 60.00
Fractional coordinates of all 10 atoms:
Ba (0.250, 0.250, 0.250)
Ba (0.750, 0.750, 0.750)
Mn (0.000, 0.000, 0.000)
Te (0.500, 0.500, 0.500)
O (0.264, 0.264, 0.736)
O (0.264, 0.736, 0.264)
O (0.264, 0.736, 0.736)
O (0.736, 0.264, 0.264)
O (0.736, 0.264, 0.736)
O (0.736, 0.736, 0.264)

Most intense lines, 2θ = 10–80°, in order of falling intensity:
2θ 30.31, intensity 100
2θ 53.86, intensity 39
2θ 43.40, intensity 31
2θ 63.06, intensity 19
2θ 71.56, intensity 17
2θ 18.43, intensity 8
2θ 37.35, intensity 7
2θ 79.65, intensity 6
2θ 35.71, intensity 3
2θ 75.64, intensity 2
2θ 57.42, intensity 2
2θ 66.31, intensity 1

The following is a calculated X-ray diffraction stick pattern of Ba2TiMnO6. It was derived from a structure optimized by DFT (GGA+U), using a wavelength of 1.5418 Å.
Intensities are scaled so that the largest is 100.

Cell and atoms:
a b c (Å): 9.983 9.983 9.983
angles (deg): 33.55 33.55 33.55
Fractional coordinates of all 20 atoms:
Ba (0.129, 0.129, 0.129)
Ba (0.285, 0.285, 0.285)
Ba (0.715, 0.715, 0.715)
Ba (0.871, 0.871, 0.871)
Ti (0.407, 0.407, 0.407)
Ti (0.593, 0.593, 0.593)
Mn (0.000, 0.000, 0.000)
Mn (0.500, 0.500, 0.500)
O (0.159, 0.605, 0.605)
O (0.203, 0.203, 0.712)
O (0.203, 0.712, 0.203)
O (0.288, 0.797, 0.797)
O (0.395, 0.395, 0.841)
O (0.395, 0.841, 0.395)
O (0.605, 0.159, 0.605)
O (0.605, 0.605, 0.159)
O (0.712, 0.203, 0.203)
O (0.797, 0.288, 0.797)
O (0.797, 0.797, 0.288)
O (0.841, 0.395, 0.395)

Most intense lines, 2θ = 10–80°, in order of falling intensity:
2θ 31.04, intensity 100
2θ 28.45, intensity 59
2θ 42.61, intensity 40
2θ 39.48, intensity 23
2θ 23.79, intensity 23
2θ 55.22, intensity 22
2θ 53.64, intensity 17
2θ 48.70, intensity 17
2θ 64.71, intensity 17
2θ 58.88, intensity 12
2θ 36.57, intensity 11
2θ 38.25, intensity 10

The following is a calculated X-ray diffraction stick pattern of BaMn2TlO6. It was derived from a structure optimized by DFT (GGA+U), using a wavelength of 1.5418 Å.
Intensities are scaled so that the largest is 100.

Cell and atoms:
a b c (Å): 3.722 3.722 24.115
angles (deg): 94.07 93.69 90.07
Fractional coordinates of all 20 atoms:
Ba (0.000, 0.000, 0.000)
Ba (0.332, 0.331, 0.644)
Mn (0.543, 0.545, 0.099)
Mn (0.635, 0.631, 0.250)
Mn (0.673, 0.708, 0.400)
Mn (0.791, 0.784, 0.545)
Tl (0.441, 0.442, 0.872)
Tl (0.893, 0.894, 0.771)
O (0.036, 0.538, 0.081)
O (0.129, 0.606, 0.241)
O (0.180, 0.717, 0.419)
O (0.298, 0.793, 0.564)
O (0.392, 0.389, 0.784)
O (0.480, 0.480, 0.957)
O (0.536, 0.037, 0.081)
O (0.620, 0.120, 0.237)
O (0.668, 0.200, 0.381)
O (0.796, 0.292, 0.562)
O (0.850, 0.850, 0.686)
O (0.925, 0.923, 0.859)

Most intense lines, 2θ = 10–80°, in order of falling intensity:
2θ 29.12, intensity 100
2θ 29.39, intensity 93
2θ 27.37, intensity 75
2θ 48.94, intensity 73
2θ 27.15, intensity 67
2θ 34.25, intensity 59
2θ 34.04, intensity 54
2θ 34.09, intensity 53
2θ 33.60, intensity 39
2θ 29.78, intensity 37
2θ 58.00, intensity 21
2θ 31.49, intensity 20

The following is a calculated X-ray diffraction stick pattern of Ba2Mn3Tl2O10. It was derived from a structure optimized by DFT (GGA+U), using a wavelength of 1.5418 Å.
Intensities are scaled so that the largest is 100.

Cell and atoms:
a b c (Å): 3.784 3.786 18.176
angles (deg): 90.21 90.52 90.15
Fractional coordinates of all 17 atoms:
Ba (0.000, 0.000, 0.000)
Ba (0.436, 0.488, 0.540)
Mn (0.453, 0.998, 0.269)
Mn (0.512, 0.499, 0.130)
Mn (0.938, 0.985, 0.410)
Tl (0.467, 0.499, 0.836)
Tl (0.945, 0.996, 0.707)
O (0.006, 0.502, 0.101)
O (0.437, 0.984, 0.431)
O (0.443, 0.525, 0.722)
O (0.464, 0.497, 0.235)
O (0.490, 0.497, 0.947)
O (0.508, 0.000, 0.109)
O (0.934, 0.486, 0.439)
O (0.935, 0.994, 0.595)
O (0.950, 0.023, 0.821)
O (0.953, 0.997, 0.304)

Most intense lines, 2θ = 10–80°, in order of falling intensity:
2θ 27.88, intensity 100
2θ 27.71, intensity 85
2θ 33.48, intensity 72
2θ 30.64, intensity 45
2θ 48.08, intensity 43
2θ 33.82, intensity 41
2θ 34.55, intensity 39
2θ 30.84, intensity 30
2θ 56.37, intensity 30
2θ 48.70, intensity 19
2θ 58.03, intensity 19
2θ 56.64, intensity 15

Q: Which formula does entry 2 have?
A: BaTbMn2O5